No. 1
This entry pairs a crystal structure of MnFeP2O8 with its calculated X-ray diffraction stick pattern. Radiation: copper Kα. Structure: a crystal structure in Alexandria, relaxed with PBE+U.
Intensities are scaled so that the largest is 1000.

Top 12 peaks for 2θ from 15° to 90°, in order of falling intensity:
two_theta  intensity
20.24  1000
36.11  821
29.96  786
25.20  773
17.91  695
36.42  357
29.72  351
62.27  280
40.86  254
25.59  227
57.27  215
37.88  210

Atomic structure:
a = 5.9657 Å, b = 4.8930 Å, c = 9.9047 Å
α = 90.00°, β = 90.00°, γ = 90.00°
Fractional coordinates of all 24 atoms:
1 Mn 0.0000 0.1748 0.0000
2 Mn 0.0000 0.8252 0.5000
3 Fe 0.5000 0.3015 0.5621
4 Fe 0.5000 0.6985 0.0621
5 P 0.0000 0.3424 0.6853
6 P 0.0000 0.6576 0.1853
7 P 0.5000 0.1499 0.8801
8 P 0.5000 0.8501 0.3801
9 O 0.0000 0.0291 0.6629
10 O 0.0000 0.3915 0.8392
11 O 0.0000 0.6085 0.3392
12 O 0.0000 0.9709 0.1629
13 O 0.2045 0.4848 0.6162
14 O 0.2045 0.5152 0.1162
15 O 0.3003 0.0018 0.4537
16 O 0.3003 0.9982 0.9537
17 O 0.5000 0.0906 0.7291
18 O 0.5000 0.4559 0.9074
19 O 0.5000 0.5441 0.4074
20 O 0.5000 0.9094 0.2291
21 O 0.6997 0.0018 0.4537
22 O 0.6997 0.9982 0.9537
23 O 0.7955 0.4848 0.6162
24 O 0.7955 0.5152 0.1162

---

No. 2
This entry pairs a crystal structure of MnFe7P8O32 with its calculated X-ray diffraction stick pattern. Radiation: copper Kα. Structure: a crystal structure in Alexandria, relaxed with PBE+U.
Intensities are scaled so that the largest is 1000.

Top 12 peaks for 2θ from 15° to 90°, in order of falling intensity:
two_theta  intensity
36.07  1000
20.27  989
25.29  928
30.19  802
17.81  782
36.64  342
29.75  258
23.34  236
51.99  202
48.35  198
57.68  197
51.88  193

Atomic structure:
a = 4.8782 Å, b = 11.8398 Å, c = 9.9599 Å
α = 90.00°, β = 90.20°, γ = 90.00°
Fractional coordinates of all 48 atoms:
1 Mn 0.0000 0.0000 0.0000
2 Fe 0.0265 0.5000 0.9894
3 Fe 0.1103 0.2509 0.4406
4 Fe 0.1103 0.7491 0.4406
5 Fe 0.5236 0.2502 0.9390
6 Fe 0.5236 0.7498 0.9390
7 Fe 0.6107 0.0000 0.4912
8 Fe 0.6107 0.5000 0.4901
9 P 0.1585 0.0000 0.3120
10 P 0.1608 0.5000 0.3115
11 P 0.4745 0.5000 0.8107
12 P 0.4771 0.0000 0.8156
13 P 0.6628 0.2498 0.6190
14 P 0.6628 0.7502 0.6190
15 P 0.9754 0.2520 0.1194
16 P 0.9754 0.7480 0.1194
17 O 0.2189 0.5000 0.1609
18 O 0.2199 0.0000 0.1604
19 O 0.2827 0.2510 0.0933
20 O 0.2827 0.7490 0.0933
21 O 0.3075 0.1013 0.3847
22 O 0.3075 0.8987 0.3847
23 O 0.3094 0.3986 0.3850
24 O 0.3094 0.6014 0.3850
25 O 0.3265 0.3987 0.8840
26 O 0.3265 0.6013 0.8840
27 O 0.3351 0.1025 0.8864
28 O 0.3351 0.8975 0.8864
29 O 0.3542 0.2495 0.5933
30 O 0.3542 0.7505 0.5933
31 O 0.4155 0.5000 0.6600
32 O 0.4271 0.0000 0.6639
33 O 0.7226 0.2506 0.7696
34 O 0.7226 0.7494 0.7696
35 O 0.7829 0.5000 0.8365
36 O 0.7914 0.0000 0.8390
37 O 0.8101 0.1484 0.5454
38 O 0.8098 0.3512 0.5454
39 O 0.8098 0.6488 0.5454
40 O 0.8101 0.8516 0.5454
41 O 0.8229 0.1508 0.0465
42 O 0.8229 0.8492 0.0465
43 O 0.8261 0.3525 0.0453
44 O 0.8261 0.6475 0.0453
45 O 0.8499 0.0000 0.3358
46 O 0.8528 0.5000 0.3373
47 O 0.9165 0.2512 0.2698
48 O 0.9165 0.7488 0.2698

---

No. 3
This entry pairs a crystal structure of Mn2Fe3SbP6O24 with its calculated X-ray diffraction stick pattern. Radiation: copper Kα. Structure: a crystal structure in Alexandria, relaxed with PBE+U.
Intensities are scaled so that the largest is 1000.

Top 12 peaks for 2θ from 15° to 90°, in order of falling intensity:
two_theta  intensity
20.49  1000
24.06  734
32.59  656
35.91  392
49.28  250
46.77  231
56.19  206
62.46  172
56.09  145
29.11  141
31.84  121
44.29  84

Atomic structure:
a = 8.6925 Å, b = 8.6925 Å, c = 8.6925 Å
α = 59.77°, β = 59.77°, γ = 59.77°
Fractional coordinates of all 36 atoms:
1 Mn 0.0000 0.0000 0.0000
2 Mn 0.4942 0.4942 0.4942
3 Fe 0.1452 0.1452 0.1452
4 Fe 0.3538 0.3538 0.3538
5 Fe 0.8554 0.8554 0.8554
6 Sb 0.6438 0.6438 0.6438
7 P 0.0448 0.4548 0.7537
8 P 0.2476 0.9605 0.5434
9 P 0.4548 0.7537 0.0448
10 P 0.5434 0.2476 0.9605
11 P 0.7537 0.0448 0.4548
12 P 0.9605 0.5434 0.2476
13 O 0.0600 0.2607 0.9125
14 O 0.0904 0.9356 0.7388
15 O 0.1116 0.5053 0.3142
16 O 0.1969 0.9896 0.3847
17 O 0.2327 0.4446 0.5849
18 O 0.2607 0.9125 0.0600
19 O 0.3142 0.1116 0.5053
20 O 0.3847 0.1969 0.9896
21 O 0.4180 0.7598 0.5594
22 O 0.4446 0.5849 0.2327
23 O 0.4867 0.6943 0.8834
24 O 0.5053 0.3142 0.1116
25 O 0.5594 0.4180 0.7598
26 O 0.5849 0.2327 0.4446
27 O 0.6133 0.8147 0.9969
28 O 0.6943 0.8834 0.4867
29 O 0.7388 0.0904 0.9356
30 O 0.7598 0.5594 0.4180
31 O 0.8147 0.9969 0.6133
32 O 0.8834 0.4867 0.6943
33 O 0.9125 0.0600 0.2607
34 O 0.9356 0.7388 0.0904
35 O 0.9896 0.3847 0.1969
36 O 0.9969 0.6133 0.8147